Starting from a DFT-relaxed cell (PBE, the Materials Project), the powder diffractogram of Cu9Se8 was simulated for Cu Kα (weighted mean of Kα1 and Kα2).
Neutral-atom scattering factors, no anomalous dispersion.

```
Cu9Se8
1.0
3.8698 0.0000 0.0000
1.9332 3.3950 0.0000
0.0988 2.1301 26.1827
Cu Se
9 8
Direct
0.0000 0.0000 0.0000
0.0240 0.9179 0.1937
0.1472 0.6712 0.5665
0.3981 0.1711 0.3172
0.5211 0.9233 0.6887
0.5470 0.7622 0.8788
0.6755 0.6472 0.0741
0.7724 0.4214 0.4419
0.9022 0.1762 0.8134
0.0570 0.8534 0.2855
0.1807 0.6043 0.6584
0.3339 0.3252 0.0363
0.4311 0.1045 0.4093
0.5598 0.8563 0.7815
0.6844 0.5976 0.1638
0.8058 0.3543 0.5338
0.8894 0.0825 0.9100
```

Main lines, in order of rising 2θ (2θ = 10–80°):
2θ 27.25, 3.273 Å, I 44
2θ 27.76, 3.214 Å, I 42
2θ 28.07, 3.179 Å, I 100
2θ 45.49, 1.994 Å, I 34
2θ 45.75, 1.983 Å, I 33
2θ 45.90, 1.977 Å, I 33
2θ 46.48, 1.954 Å, I 65
2θ 46.96, 1.935 Å, I 31
2θ 54.09, 1.696 Å, I 16
2θ 54.84, 1.674 Å, I 10

=====

Starting from a DFT-relaxed cell (PBE, the Materials Project), the powder diffractogram of ErMgPd2 was simulated for Cu Kα (weighted mean of Kα1 and Kα2).
Neutral-atom scattering factors, no anomalous dispersion.

```
ErMgPd2
1.0
0.0000 3.3590 3.3590
3.3590 0.0000 3.3590
3.3590 3.3590 0.0000
Er Mg Pd
1 1 2
Direct
0.0000 0.0000 0.0000
0.5000 0.5000 0.5000
0.2500 0.2500 0.2500
0.7500 0.7500 0.7500
```

Main lines, in order of rising 2θ (2θ = 10–80°):
2θ 22.93, 3.879 Å, I 28
2θ 26.54, 3.359 Å, I 1
2θ 37.88, 2.375 Å, I 100
2θ 44.74, 2.026 Å, I 15
2θ 54.65, 1.680 Å, I 17
2θ 60.03, 1.541 Å, I 6
2θ 68.41, 1.371 Å, I 35
2θ 73.21, 1.293 Å, I 5

=====

Starting from a DFT-relaxed cell (PBE, the Materials Project), the powder diffractogram of SrNdGaCuO5 was simulated for Cu Kα (weighted mean of Kα1 and Kα2).
Neutral-atom scattering factors, no anomalous dispersion.

```
SrNdGaCuO5
1.0
3.8698 -8.2457 0.0000
3.8698 8.2457 0.0000
-3.6605 0.0000 3.8644
Sr Nd Ga Cu O
2 2 2 2 10
Direct
0.1384 0.8616 0.0000
0.8616 0.1384 0.0000
0.3080 0.6068 0.9558
0.6068 0.3080 0.9558
0.5532 0.5532 0.5175
0.9234 0.9234 0.3825
0.2326 0.7321 0.4830
0.7321 0.2326 0.4830
0.1657 0.9710 0.5974
0.3363 0.5399 0.4740
0.4883 0.9741 0.4804
0.4909 0.9796 0.9839
0.5399 0.3363 0.4740
0.6062 0.6062 0.2060
0.8649 0.8649 0.9713
0.9710 0.1657 0.5974
0.9741 0.4883 0.4804
0.9796 0.4909 0.9839
```

Main lines, in order of rising 2θ (2θ = 10–80°):
2θ 10.73, 8.246 Å, I 13
2θ 22.63, 3.929 Å, I 12
2θ 31.74, 2.819 Å, I 100
2θ 31.85, 2.809 Å, I 31
2θ 33.68, 2.661 Å, I 33
2θ 40.28, 2.239 Å, I 26
2θ 43.92, 2.061 Å, I 11
2θ 47.03, 1.932 Å, I 27
2θ 56.68, 1.624 Å, I 16
2θ 59.01, 1.565 Å, I 18

=====

Copy entry 3 word for word.
Starting from a DFT-relaxed cell (PBE, the Materials Project), the powder diffractogram of SrNdGaCuO5 was simulated for Cu Kα (weighted mean of Kα1 and Kα2).
Neutral-atom scattering factors, no anomalous dispersion.

```
SrNdGaCuO5
1.0
3.8698 -8.2457 0.0000
3.8698 8.2457 0.0000
-3.6605 0.0000 3.8644
Sr Nd Ga Cu O
2 2 2 2 10
Direct
0.1384 0.8616 0.0000
0.8616 0.1384 0.0000
0.3080 0.6068 0.9558
0.6068 0.3080 0.9558
0.5532 0.5532 0.5175
0.9234 0.9234 0.3825
0.2326 0.7321 0.4830
0.7321 0.2326 0.4830
0.1657 0.9710 0.5974
0.3363 0.5399 0.4740
0.4883 0.9741 0.4804
0.4909 0.9796 0.9839
0.5399 0.3363 0.4740
0.6062 0.6062 0.2060
0.8649 0.8649 0.9713
0.9710 0.1657 0.5974
0.9741 0.4883 0.4804
0.9796 0.4909 0.9839
```

Main lines, in order of rising 2θ (2θ = 10–80°):
2θ 10.73, 8.246 Å, I 13
2θ 22.63, 3.929 Å, I 12
2θ 31.74, 2.819 Å, I 100
2θ 31.85, 2.809 Å, I 31
2θ 33.68, 2.661 Å, I 33
2θ 40.28, 2.239 Å, I 26
2θ 43.92, 2.061 Å, I 11
2θ 47.03, 1.932 Å, I 27
2θ 56.68, 1.624 Å, I 16
2θ 59.01, 1.565 Å, I 18

=====

What is the formula in the third record?
SrNdGaCuO5